This entry pairs a crystal structure of CuCClO with its simulated X-ray diffraction stick pattern. Radiation: λ = 1.5418 Å (Cu Kα). Structure: DFT lattice parameters and positions (GGA-PBE).

Structure:
Unit cell a=3.659 b=8.571 c=5.103 alpha=90.00 beta=90.00 gamma=90.00
Space group Pmn2_1 (No. 31)
One atom of each set of equivalent atoms:
Cu: 0.000 0.138 0.000 [2 per cell]
C: 0.000 0.315 0.193 [2 per cell]
Cl: 0.000 0.892 0.206 [2 per cell]
O: 0.000 0.430 0.311 [2 per cell]

Top 8 peaks for 10° ≤ 2θ ≤ 90°, by angle:
2θ = 10.3°, intensity 100; 2θ = 20.3°, intensity 36; 2θ = 26.5°, intensity 19; 2θ = 27.2°, intensity 52; 2θ = 30.1°, intensity 58; 2θ = 31.9°, intensity 33; 2θ = 43.9°, intensity 15; 2θ = 48.4°, intensity 37

=====

This entry pairs a crystal structure of TlCuCCl with its simulated X-ray diffraction stick pattern. Radiation: λ = 1.5418 Å (Cu Kα). Structure: DFT lattice parameters and positions (GGA-PBE).

Structure:
Unit cell a=3.721 b=4.356 c=6.186 alpha=90.00 beta=107.00 gamma=90.00
Space group Pm (No. 6)
One atom of each set of equivalent atoms:
Tl: 0.000 0.000 0.000 [1 per cell]
Cu: 0.613 0.500 0.227 [1 per cell]
C: 0.136 0.500 0.274 [1 per cell]
Cl: 0.289 0.500 0.588 [1 per cell]

Top 8 peaks for 10° ≤ 2θ ≤ 90°, by angle:
2θ = 15.0°, intensity 100; 2θ = 25.4°, intensity 94; 2θ = 32.5°, intensity 60; 2θ = 32.6°, intensity 61; 2θ = 33.0°, intensity 32; 2θ = 33.2°, intensity 31; 2θ = 36.7°, intensity 47; 2θ = 41.5°, intensity 24